For AgHg2SbI, the PBE geometry in Alexandria gives the computed PXRD pattern in this record (Cu Kα (λ = 1.5418 Å)).

abc: 5.6634 5.6634 5.3309
angles: 90.00 90.00 90.00
Space group P4/mmm (No. 123)
Asymmetric unit:
Ag: 0.0000 0.0000 0.0000 [1 per cell]
Hg: 0.0000 0.5000 0.5000 [2 per cell]
Sb: 0.0000 0.0000 0.5000 [1 per cell]
I: 0.5000 0.5000 0.0000 [1 per cell]

Main lines, in order of rising 2θ (5° ≤ 2θ ≤ 70°):
27.9 deg, intensity 100; 31.6 deg, intensity 78; 33.6 deg, intensity 33; 45.3 deg, intensity 29; 46.8 deg, intensity 53; 54.0 deg, intensity 33